Record 1
DySi4Ir6: calculated XRD peak list (Cu Ka), based on a crystal structure in Alexandria, relaxed with PBE.
Kinematic intensities with the Lorentz-polarization factor, no thermal factor.

Atomic structure:
```
data_DySi4Ir6
_space_group_name_H-M_alt 'P -6 m 2'
_space_group_IT_number 187
_space_group_name_Hall 'P -6 2'
_cell_length_a 7.0402
_cell_length_b 7.0402
_cell_length_c 3.8310
_cell_angle_alpha 90.00
_cell_angle_beta 90.00
_cell_angle_gamma 120.00
loop_
_atom_site_label
_atom_site_type_symbol
_atom_site_fract_x
_atom_site_fract_y
_atom_site_fract_z
Dy1 Dy 0.0000 0.0000 0.0000
Si1 Si 0.3333 0.6667 0.0000
Si2 Si 0.3928 0.1964 0.5000
Ir1 Ir 0.1975 0.3951 0.5000
Ir2 Ir 0.5333 0.0666 0.0000
```

The 10 most intense peaks (15 to 90 degrees two-theta), most intense first:
| hkl | two_theta | I/Imax |
| --- | --- | --- |
| 2 0 1 | 37.71 | 100 |
| 1 0 1 | 27.50 | 27 |
| 2 1 1 | 45.96 | 24 |
| 2 0 0 | 29.30 | 22 |
| 3 0 0 | 44.58 | 21 |
| 2 1 0 | 39.09 | 19 |
| 3 2 1 | 71.85 | 19 |
| 0 0 2 | 47.46 | 18 |
| 2 2 0 | 51.95 | 17 |
| 3 0 2 | 67.15 | 13 |


Record 2
Dy2Si3Ir3: calculated XRD peak list (Cu Ka), based on a crystal structure in Alexandria, relaxed with PBE.
Kinematic intensities with the Lorentz-polarization factor, no thermal factor.

Atomic structure:
```
data_Dy2Si3Ir3
_space_group_name_H-M_alt 'P 4/m m m'
_space_group_IT_number 123
_space_group_name_Hall '-P 4 2'
_cell_length_a 2.812
_cell_length_b 2.812
_cell_length_c 20.124
_cell_angle_alpha 90.00
_cell_angle_beta 90.00
_cell_angle_gamma 90.00
loop_
_atom_site_label
_atom_site_type_symbol
_atom_site_fract_x
_atom_site_fract_y
_atom_site_fract_z
Dy1 Dy 0.000 0.000 0.244
Si1 Si 0.000 0.000 0.000
Si2 Si 0.000 0.000 0.385
Ir1 Ir 0.000 0.000 0.112
Ir2 Ir 0.000 0.000 0.500
```

The 10 most intense peaks (15 to 90 degrees two-theta), most intense first:
| hkl | two_theta | I/Imax |
| --- | --- | --- |
| 1 0 0 | 31.83 | 100 |
| 1 0 8 | 48.56 | 50 |
| 1 1 0 | 45.63 | 37 |
| 0 0 8 | 35.69 | 30 |
| 1 1 8 | 59.24 | 28 |
| 1 0 3 | 34.59 | 22 |
| 0 0 5 | 22.09 | 20 |
| 2 1 8 | 86.54 | 20 |
| 1 0 5 | 39.08 | 20 |
| 2 1 0 | 75.63 | 19 |


Record 3
Dy2Si3Ir2: calculated XRD peak list (Cu Ka), based on a crystal structure in Alexandria, relaxed with PBE.
Kinematic intensities with the Lorentz-polarization factor, no thermal factor.

Atomic structure:
```
data_Dy2Si3Ir2
_space_group_name_H-M_alt 'C m c m'
_space_group_IT_number 63
_space_group_name_Hall '-C 2c 2'
_cell_length_a 4.093
_cell_length_b 17.399
_cell_length_c 6.962
_cell_angle_alpha 90.00
_cell_angle_beta 90.00
_cell_angle_gamma 90.00
loop_
_atom_site_label
_atom_site_type_symbol
_atom_site_fract_x
_atom_site_fract_y
_atom_site_fract_z
Dy1 Dy 0.000 0.058 0.250
Dy2 Dy 0.000 0.154 0.750
Si1 Si 0.000 0.227 0.250
Si2 Si 0.000 0.439 0.071
Ir1 Ir 0.000 0.309 0.550
```

The 10 most intense peaks (15 to 90 degrees two-theta), most intense first:
| hkl | two_theta | I/Imax |
| --- | --- | --- |
| 2 0 0 | 44.24 | 100 |
| 1 1 2 | 34.20 | 91 |
| 1 5 1 | 36.26 | 78 |
| 1 3 2 | 37.28 | 60 |
| 2 4 3 | 64.36 | 36 |
| 1 5 0 | 33.81 | 36 |
| 0 2 2 | 27.60 | 28 |
| 0 6 1 | 33.47 | 28 |
| 1 3 0 | 26.65 | 28 |
| 0 8 0 | 41.52 | 28 |


Record 4
Tb2Dy2SiIr4: calculated XRD peak list (Cu Ka), based on a crystal structure in Alexandria, relaxed with PBE.
Kinematic intensities with the Lorentz-polarization factor, no thermal factor.

Atomic structure:
```
data_Tb2Dy2SiIr4
_space_group_name_H-M_alt 'I 4/m m m'
_space_group_IT_number 139
_space_group_name_Hall '-I 4 2'
_cell_length_a 6.418
_cell_length_b 6.418
_cell_length_c 8.954
_cell_angle_alpha 90.00
_cell_angle_beta 90.00
_cell_angle_gamma 90.00
loop_
_atom_site_label
_atom_site_type_symbol
_atom_site_fract_x
_atom_site_fract_y
_atom_site_fract_z
Tb1 Tb 0.000 0.000 0.191
Dy1 Dy 0.000 0.500 0.250
Si1 Si 0.000 0.000 0.500
Ir1 Ir 0.246 0.246 0.000
```

The 10 most intense peaks (15 to 90 degrees two-theta), most intense first:
| hkl | two_theta | I/Imax |
| --- | --- | --- |
| 2 0 2 | 34.38 | 100 |
| 2 2 0 | 39.72 | 42 |
| 4 2 2 | 68.68 | 27 |
| 2 2 4 | 57.87 | 18 |
| 4 0 0 | 57.43 | 14 |
| 0 0 4 | 40.29 | 13 |
| 4 0 4 | 72.48 | 9 |
| 2 1 3 | 43.76 | 7 |
| 2 0 6 | 69.46 | 6 |
| 1 0 3 | 33.10 | 6 |


Record 5
DyTh2Si2Ir7: calculated XRD peak list (Cu Ka), based on a crystal structure in Alexandria, relaxed with PBE.
Kinematic intensities with the Lorentz-polarization factor, no thermal factor.

Atomic structure:
```
data_DyTh2Si2Ir7
_space_group_name_H-M_alt 'C 1 2/m 1'
_space_group_IT_number 12
_cell_length_a 5.811
_cell_length_b 5.764
_cell_length_c 13.303
_cell_angle_alpha 90.00
_cell_angle_beta 97.80
_cell_angle_gamma 90.00
loop_
_space_group_symop_operation_xyz
'x,y,z'
'-x,-y,-z'
'-x,y,-z'
'x,-y,z'
'x+1/2,y+1/2,z'
'-x+1/2,-y+1/2,-z'
'-x+1/2,y+1/2,-z'
'x+1/2,-y+1/2,z'
loop_
_atom_site_label
_atom_site_type_symbol
_atom_site_fract_x
_atom_site_fract_y
_atom_site_fract_z
Dy1 Dy 0.000 0.000 0.000
Th1 Th 0.100 0.000 0.346
Si1 Si 0.078 0.500 0.250
Ir1 Ir 0.000 0.500 0.000
Ir2 Ir 0.130 0.500 0.428
Ir3 Ir 0.201 0.250 0.842
```

The 10 most intense peaks (15 to 90 degrees two-theta), most intense first:
| hkl | two_theta | I/Imax |
| --- | --- | --- |
| 0 2 3 | 37.31 | 100 |
| 2 2 -1 | 44.35 | 71 |
| 2 0 2 | 35.69 | 68 |
| 2 0 -3 | 34.87 | 60 |
| 0 0 5 | 33.97 | 44 |
| 2 2 0 | 44.48 | 39 |
| 0 2 1 | 31.78 | 31 |
| 4 0 -1 | 64.09 | 30 |
| 1 1 4 | 36.69 | 26 |
| 1 1 3 | 31.35 | 23 |


Record 6
DyTmSiIr: calculated XRD peak list (Cu Ka), based on a crystal structure in Alexandria, relaxed with PBE.
Kinematic intensities with the Lorentz-polarization factor, no thermal factor.

Atomic structure:
```
data_DyTmSiIr
_space_group_name_H-M_alt 'A m m 2'
_space_group_IT_number 38
_cell_length_a 3.928
_cell_length_b 4.162
_cell_length_c 10.539
_cell_angle_alpha 90.00
_cell_angle_beta 90.00
_cell_angle_gamma 90.00
loop_
_space_group_symop_operation_xyz
'x,y,z'
'-x,-y,z'
'-x,y,z'
'x,-y,z'
'x,y+1/2,z+1/2'
'-x,-y+1/2,z+1/2'
'-x,y+1/2,z+1/2'
'x,-y+1/2,z+1/2'
loop_
_atom_site_label
_atom_site_type_symbol
_atom_site_fract_x
_atom_site_fract_y
_atom_site_fract_z
Dy1 Dy 0.000 0.000 0.000
Tm1 Tm 0.500 0.000 0.283
Si1 Si 0.500 0.000 0.577
Ir1 Ir 0.000 0.000 0.721
```

The 10 most intense peaks (15 to 90 degrees two-theta), most intense first:
| hkl | two_theta | I/Imax |
| --- | --- | --- |
| 1 1 1 | 32.47 | 100 |
| 1 1 3 | 40.71 | 48 |
| 0 1 3 | 33.38 | 39 |
| 0 0 4 | 34.03 | 24 |
| 0 2 0 | 43.49 | 23 |
| 1 0 4 | 41.26 | 21 |
| 0 0 2 | 16.83 | 19 |
| 2 0 0 | 46.22 | 19 |
| 2 1 3 | 58.20 | 16 |
| 2 2 0 | 65.33 | 14 |


Record 7
SmDyIr2: calculated XRD peak list (Cu Ka), based on a crystal structure in Alexandria, relaxed with PBE.
Kinematic intensities with the Lorentz-polarization factor, no thermal factor.

Atomic structure:
```
data_SmDyIr2
_space_group_name_H-M_alt 'F m -3 m'
_space_group_IT_number 225
_space_group_name_Hall '-F 4 2 3'
_cell_length_a 6.933
_cell_length_b 6.933
_cell_length_c 6.933
_cell_angle_alpha 90.00
_cell_angle_beta 90.00
_cell_angle_gamma 90.00
loop_
_atom_site_label
_atom_site_type_symbol
_atom_site_fract_x
_atom_site_fract_y
_atom_site_fract_z
Sm1 Sm 0.000 0.000 0.000
Dy1 Dy 0.000 0.000 0.500
Ir1 Ir 0.250 0.250 0.250
```

The 7 most intense peaks (15 to 90 degrees two-theta), most intense first:
| hkl | two_theta | I/Imax |
| --- | --- | --- |
| 2 2 0 | 36.66 | 100 |
| 4 2 2 | 66.02 | 36 |
| 4 0 0 | 52.82 | 18 |
| 6 2 0 | 89.39 | 17 |
| 4 4 0 | 77.96 | 11 |
| 2 0 0 | 25.70 | 1 |
| 4 2 0 | 59.65 | 1 |


Record 8
SmDy3Ir8: calculated XRD peak list (Cu Ka), based on a crystal structure in Alexandria, relaxed with PBE.
Kinematic intensities with the Lorentz-polarization factor, no thermal factor.

Atomic structure:
```
data_SmDy3Ir8
_space_group_name_H-M_alt 'P 3 m 1'
_space_group_IT_number 156
_cell_length_a 5.3753
_cell_length_b 5.3753
_cell_length_c 8.7355
_cell_angle_alpha 90.00
_cell_angle_beta 90.00
_cell_angle_gamma 120.00
loop_
_space_group_symop_operation_xyz
'x,y,z'
'-y,x-y,z'
'-x+y,-x,z'
'-y,-x,z'
'-x+y,y,z'
'x,x-y,z'
loop_
_atom_site_label
_atom_site_type_symbol
_atom_site_fract_x
_atom_site_fract_y
_atom_site_fract_z
Sm1 Sm 0.0000 0.0000 0.0000
Dy1 Dy 0.0000 0.0000 0.3659
Dy2 Dy 0.6667 0.3333 0.4994
Dy3 Dy 0.6667 0.3333 0.8642
Ir1 Ir 0.1636 0.3273 0.6812
Ir2 Ir 0.3333 0.6667 0.4322
Ir3 Ir 0.3333 0.6667 0.9320
Ir4 Ir 0.5032 0.0064 0.1839
```

The 10 most intense peaks (15 to 90 degrees two-theta), most intense first:
| hkl | two_theta | I/Imax |
| --- | --- | --- |
| 0 2 1 | 40.09 | 100 |
| 1 1 2 | 39.36 | 100 |
| 1 0 3 | 36.39 | 67 |
| 0 2 5 | 66.97 | 32 |
| 2 2 0 | 70.01 | 31 |
| 2 0 2 | 44.09 | 29 |
| 2 1 3 | 61.59 | 26 |
| 0 3 2 | 63.64 | 25 |
| 1 1 0 | 33.34 | 23 |
| 0 0 4 | 41.34 | 22 |


What did the sixth record say?
DyTmSiIr: calculated XRD peak list (Cu Ka), based on a crystal structure in Alexandria, relaxed with PBE.
Kinematic intensities with the Lorentz-polarization factor, no thermal factor.

Atomic structure:
```
data_DyTmSiIr
_space_group_name_H-M_alt 'A m m 2'
_space_group_IT_number 38
_cell_length_a 3.928
_cell_length_b 4.162
_cell_length_c 10.539
_cell_angle_alpha 90.00
_cell_angle_beta 90.00
_cell_angle_gamma 90.00
loop_
_space_group_symop_operation_xyz
'x,y,z'
'-x,-y,z'
'-x,y,z'
'x,-y,z'
'x,y+1/2,z+1/2'
'-x,-y+1/2,z+1/2'
'-x,y+1/2,z+1/2'
'x,-y+1/2,z+1/2'
loop_
_atom_site_label
_atom_site_type_symbol
_atom_site_fract_x
_atom_site_fract_y
_atom_site_fract_z
Dy1 Dy 0.000 0.000 0.000
Tm1 Tm 0.500 0.000 0.283
Si1 Si 0.500 0.000 0.577
Ir1 Ir 0.000 0.000 0.721
```

The 10 most intense peaks (15 to 90 degrees two-theta), most intense first:
| hkl | two_theta | I/Imax |
| --- | --- | --- |
| 1 1 1 | 32.47 | 100 |
| 1 1 3 | 40.71 | 48 |
| 0 1 3 | 33.38 | 39 |
| 0 0 4 | 34.03 | 24 |
| 0 2 0 | 43.49 | 23 |
| 1 0 4 | 41.26 | 21 |
| 0 0 2 | 16.83 | 19 |
| 2 0 0 | 46.22 | 19 |
| 2 1 3 | 58.20 | 16 |
| 2 2 0 | 65.33 | 14 |


Repeat the first record exactly.
DySi4Ir6: calculated XRD peak list (Cu Ka), based on a crystal structure in Alexandria, relaxed with PBE.
Kinematic intensities with the Lorentz-polarization factor, no thermal factor.

Atomic structure:
```
data_DySi4Ir6
_space_group_name_H-M_alt 'P -6 m 2'
_space_group_IT_number 187
_space_group_name_Hall 'P -6 2'
_cell_length_a 7.0402
_cell_length_b 7.0402
_cell_length_c 3.8310
_cell_angle_alpha 90.00
_cell_angle_beta 90.00
_cell_angle_gamma 120.00
loop_
_atom_site_label
_atom_site_type_symbol
_atom_site_fract_x
_atom_site_fract_y
_atom_site_fract_z
Dy1 Dy 0.0000 0.0000 0.0000
Si1 Si 0.3333 0.6667 0.0000
Si2 Si 0.3928 0.1964 0.5000
Ir1 Ir 0.1975 0.3951 0.5000
Ir2 Ir 0.5333 0.0666 0.0000
```

The 10 most intense peaks (15 to 90 degrees two-theta), most intense first:
| hkl | two_theta | I/Imax |
| --- | --- | --- |
| 2 0 1 | 37.71 | 100 |
| 1 0 1 | 27.50 | 27 |
| 2 1 1 | 45.96 | 24 |
| 2 0 0 | 29.30 | 22 |
| 3 0 0 | 44.58 | 21 |
| 2 1 0 | 39.09 | 19 |
| 3 2 1 | 71.85 | 19 |
| 0 0 2 | 47.46 | 18 |
| 2 2 0 | 51.95 | 17 |
| 3 0 2 | 67.15 | 13 |